Entry 1:
Zr4HgPbN2: computed X-ray diffraction stick pattern (Cu Ka), based on a DFT-relaxed cell (PBE, OQMD).

Main lines, sorted by position (5° ≤ 2θ ≤ 70°):
Position (°2θ)  intensity
30.9  22
36.0  100
36.6  20
48.6  16
54.9  21
65.6  17
67.4  16
67.8  20

Unit cell a=3.3463 b=3.3463 c=14.7155 alpha=90.00 beta=90.00 gamma=120.00
Space group P-6m2 (No. 187)
One atom of each set of equivalent atoms:
Zr  0.0000  0.0000  0.1645 x2
Zr  0.3333  0.6667  0.3307 x2
Hg  0.3333  0.6667  0.0000 x1
Pb  0.0000  0.0000  0.5000 x1
N  0.6667  0.3333  0.2450 x2

Entry 2:
Y2SbAsPt2: computed X-ray diffraction stick pattern (Cu Ka), based on a DFT-relaxed cell (PBE, OQMD).

Main lines, sorted by position (5° ≤ 2θ ≤ 70°):
Position (°2θ)  intensity
23.6  62
39.1  100
46.2  32
56.5  17
62.1  13

Unit cell a=11.2821 b=4.6128 c=11.2926 alpha=90.00 beta=109.47 gamma=90.00
Space group Pm (No. 6)
One atom of each set of equivalent atoms:
Y  0.0000  0.0000  0.0000 x1
Y  0.1179  0.5000  0.3739 x1
Y  0.2422  0.0000  0.7481 x1
Y  0.3748  0.5000  0.1230 x1
Y  0.5041  0.0000  0.4955 x1
Y  0.6299  0.5000  0.8789 x1
Y  0.7533  0.0000  0.2526 x1
Y  0.8773  0.5000  0.6208 x1
Sb  0.2497  0.0000  0.2497 x1
Sb  0.3761  0.5000  0.6244 x1
Sb  0.5008  0.0000  0.9992 x1
Sb  0.7512  0.0000  0.7494 x1
As  0.1229  0.5000  0.8741 x1
As  0.6265  0.5000  0.3728 x1
As  0.8748  0.5000  0.1255 x1
As  0.9976  0.0000  0.4980 x1
Pt  0.1247  0.5000  0.6239 x1
Pt  0.2488  0.0000  0.9989 x1
Pt  0.3730  0.5000  0.3737 x1
Pt  0.4988  0.0000  0.7486 x1
Pt  0.6276  0.5000  0.1283 x1
Pt  0.7534  0.0000  0.4994 x1
Pt  0.8782  0.5000  0.8728 x1
Pt  0.9989  0.0000  0.2482 x1

Entry 3:
RbNiAu: computed X-ray diffraction stick pattern (Cu Ka), based on a DFT-relaxed cell (PBE, OQMD).

Main lines, sorted by position (5° ≤ 2θ ≤ 70°):
Position (°2θ)  intensity
22.7  32
26.3  49
37.6  100
44.4  17
46.4  15
54.2  17
61.2  20
67.8  35

Unit cell a=6.7728 b=6.7728 c=6.7728 alpha=90.00 beta=90.00 gamma=90.00
Space group F-43m (No. 216)
One atom of each set of equivalent atoms:
Rb  0.0000  0.0000  0.0000 x4
Ni  0.2500  0.2500  0.7500 x4
Au  0.0000  0.0000  0.5000 x4

Entry 4:
AgW3N5: computed X-ray diffraction stick pattern (Cu Ka), based on a DFT-relaxed cell (PBE, OQMD).

Main lines, sorted by position (5° ≤ 2θ ≤ 70°):
Position (°2θ)  intensity
17.1  100
25.9  90
34.7  35
38.0  34
39.1  82
43.0  61
53.3  77
55.7  22

Unit cell a=5.3200 b=5.3200 c=5.1725 alpha=90.00 beta=90.00 gamma=120.00
Space group P6/mmm (No. 191)
One atom of each set of equivalent atoms:
Ag  0.0000  0.0000  0.0000 x1
W  0.0000  0.5000  0.5000 x3
N  0.0000  0.0000  0.5000 x1
N  0.3333  0.6667  0.2403 x4

Entry 5:
ScTaCo2Sb2: computed X-ray diffraction stick pattern (Cu Ka), based on a DFT-relaxed cell (PBE, OQMD).

Main lines, sorted by position (5° ≤ 2θ ≤ 70°):
Position (°2θ)  intensity
10.4  13
18.1  8
25.7  12
29.8  46
42.7  100
50.5  5
52.9  12
61.9  16

Unit cell a=4.2337 b=8.4825 c=5.9978 alpha=90.00 beta=90.00 gamma=90.00
Space group Pmn2_1 (No. 31)
One atom of each set of equivalent atoms:
Sc  0.0000  0.1238  0.0000 x2
Ta  0.0000  0.6246  0.0145 x2
Co  0.0000  0.3855  0.2714 x2
Co  0.0000  0.8611  0.2440 x2
Sb  0.0000  0.1232  0.4994 x2
Sb  0.0000  0.6278  0.5169 x2

Entry 6:
Li4Zn2O5: computed X-ray diffraction stick pattern (Cu Ka), based on a DFT-relaxed cell (PBE, OQMD).

Main lines, sorted by position (5° ≤ 2θ ≤ 70°):
Position (°2θ)  intensity
14.3  65
21.9  100
23.1  65
31.0  49
38.3  28
43.9  38
44.7  76
64.5  42

Unit cell a=4.0481 b=12.3679 c=4.0537 alpha=90.00 beta=90.00 gamma=90.00
Space group Cmmm (No. 65)
One atom of each set of equivalent atoms:
Li  0.0000  0.0000  0.0000 x2
Li  0.0000  0.1847  0.5000 x4
Li  0.0000  0.5000  0.5000 x2
Zn  0.0000  0.3380  0.0000 x4
O  0.0000  0.1669  0.0000 x4
O  0.0000  0.3454  0.5000 x4
O  0.0000  0.5000  0.0000 x2

Entry 7:
Mo2C: computed X-ray diffraction stick pattern (Cu Ka), based on a DFT-relaxed cell (PBE, OQMD).

Main lines, sorted by position (5° ≤ 2θ ≤ 70°):
Position (°2θ)  intensity
19.0  1
33.8  20
38.6  21
39.0  100
52.2  16
60.4  19

Unit cell a=3.0641 b=3.0641 c=4.6678 alpha=90.00 beta=90.00 gamma=120.00
Space group P-3m1 (No. 164)
One atom of each set of equivalent atoms:
Mo  0.3333  0.6667  0.2504 x2
C  0.0000  0.0000  0.0000 x1

Entry 8:
Cu2Cl3: computed X-ray diffraction stick pattern (Cu Ka), based on a DFT-relaxed cell (PBE, OQMD).

Main lines, sorted by position (5° ≤ 2θ ≤ 70°):
Position (°2θ)  intensity
15.5  31
18.2  63
25.1  28
28.7  100
29.0  99
48.0  85
56.9  24
57.5  24

Unit cell a=3.7406 b=11.4124 c=5.3944 alpha=90.00 beta=90.00 gamma=90.00
Space group Imm2 (No. 44)
One atom of each set of equivalent atoms:
Cu  0.0000  0.1600  0.0000 x4
Cl  0.0000  0.0000  0.2344 x2
Cl  0.0000  0.3245  0.2575 x4

Entry 9:
PrSc2Ni9: computed X-ray diffraction stick pattern (Cu Ka), based on a DFT-relaxed cell (PBE, OQMD).

Main lines, sorted by position (5° ≤ 2θ ≤ 70°):
Position (°2θ)  intensity
11.2  18
36.6  26
36.9  19
42.7  31
43.2  18
43.4  100
45.8  26
46.8  19

Unit cell a=4.9086 b=4.9086 c=23.7963 alpha=90.00 beta=90.00 gamma=120.00
Space group R-3m (No. 166, hexagonal axes)
One atom of each set of equivalent atoms:
Pr  0.0000  0.0000  0.0000 x3
Sc  0.0000  0.0000  0.1422 x6
Ni  0.0000  0.0000  0.3332 x6
Ni  0.0000  0.0000  0.5000 x3
Ni  0.0032  0.5016  0.9143 x18

Entry 10:
LaSm2Ta2N6: computed X-ray diffraction stick pattern (Cu Ka), based on a DFT-relaxed cell (PBE, OQMD).

Main lines, sorted by position (5° ≤ 2θ ≤ 70°):
Position (°2θ)  intensity
18.1  13
31.2  62
31.7  100
44.8  30
47.3  12
55.9  41
56.9  12
65.2  9

Unit cell a=4.0480 b=4.0480 c=19.6387 alpha=90.00 beta=90.00 gamma=90.00
Space group I4/mmm (No. 139)
One atom of each set of equivalent atoms:
La  0.0000  0.0000  0.0000 x2
Sm  0.0000  0.0000  0.1793 x4
Ta  0.0000  0.0000  0.3962 x4
N  0.0000  0.0000  0.2976 x4
N  0.0000  0.5000  0.0874 x8

Entry 11:
TmInGa4Co: computed X-ray diffraction stick pattern (Cu Ka), based on a DFT-relaxed cell (PBE, OQMD).

Main lines, sorted by position (5° ≤ 2θ ≤ 70°):
Position (°2θ)  intensity
13.0  12
20.6  9
32.2  54
39.7  100
41.9  48
59.1  20
60.8  15
62.5  9

Unit cell a=4.3077 b=4.3077 c=6.8152 alpha=90.00 beta=90.00 gamma=90.00
Space group P4/mmm (No. 123)
One atom of each set of equivalent atoms:
Tm  0.0000  0.0000  0.0000 x1
In  0.5000  0.5000  0.0000 x1
Ga  0.0000  0.5000  0.3128 x4
Co  0.0000  0.0000  0.5000 x1

Entry 12:
SmTeAuO: computed X-ray diffraction stick pattern (Cu Ka), based on a DFT-relaxed cell (PBE, OQMD).

Main lines, sorted by position (5° ≤ 2θ ≤ 70°):
Position (°2θ)  intensity
8.5  58
27.7  94
30.7  100
32.0  65
33.9  84
35.5  59
45.0  64
54.3  42

Unit cell a=10.3609 b=5.8032 c=5.8249 alpha=90.00 beta=90.00 gamma=90.00
Space group Aem2 (No. 39)
One atom of each set of equivalent atoms:
Sm  0.1079  0.2500  0.0000 x4
Te  0.2808  0.2500  0.5008 x4
Au  0.5000  0.0000  0.0009 x4
O  0.0000  0.0000  0.2499 x4

Entry 13:
TePt7: computed X-ray diffraction stick pattern (Cu Ka), based on a DFT-relaxed cell (PBE, OQMD).

Main lines, sorted by position (5° ≤ 2θ ≤ 70°):
Position (°2θ)  intensity
38.9  100
40.3  44
44.1  53
47.4  10
49.7  10
64.1  18
66.7  14
68.6  15

Unit cell a=2.9061 b=2.9061 c=42.1736 alpha=90.00 beta=90.00 gamma=90.00
Space group P4/nmm (No. 129, origin choice 2)
One atom of each set of equivalent atoms:
Te  0.2500  0.2500  0.1622 x2
Pt  0.2500  0.2500  0.2577 x2
Pt  0.2500  0.2500  0.3460 x2
Pt  0.2500  0.2500  0.4340 x2
Pt  0.2500  0.2500  0.5220 x2
Pt  0.2500  0.2500  0.6100 x2
Pt  0.2500  0.2500  0.6980 x2
Pt  0.2500  0.2500  0.7885 x2

Entry 14:
Zr2InPd2: computed X-ray diffraction stick pattern (Cu Ka), based on a DFT-relaxed cell (PBE, OQMD).

Main lines, sorted by position (5° ≤ 2θ ≤ 70°):
Position (°2θ)  intensity
33.0  13
34.7  32
36.7  100
37.0  63
45.5  13
52.4  12
65.9  18
67.8  12

Unit cell a=7.6752 b=7.6752 c=6.9843 alpha=90.00 beta=90.00 gamma=90.00
Space group P4_2/mnm (No. 136)
One atom of each set of equivalent atoms:
Zr  0.1549  0.1549  0.0000 x4
Zr  0.1861  0.1861  0.5000 x4
In  0.0000  0.5000  0.2500 x4
Pd  0.1290  0.8710  0.2815 x8